Structure and simulated PXRD pattern of Ca8Ag2Pd3 (a crystal structure in Alexandria, relaxed with GGA-PBE; Cu Kα (weighted mean of Kα1 and Kα2)).
Kinematic intensities with the Lorentz-polarization factor, no thermal factor.

Main lines, by angle (2θ = 10–90°):
| 2θ (°) | d (Å) | I (rel.) | index |
| --- | --- | --- | --- |
| 10.62 | 8.331 | 14 | 0 0 1 |
| 21.35 | 4.162 | 51 | 2 0 0 |
| 35.15 | 2.553 | 100 | 3 1 -1 |
| 35.34 | 2.540 | 50 | 2 0 2 |
| 41.64 | 2.169 | 13 | 1 1 3 |
| 50.84 | 1.796 | 17 | 2 2 2 |
| 62.99 | 1.476 | 12 | 6 0 -2 |
| 63.36 | 1.468 | 25 | 5 1 1 |

Structural model:
```
data_Ca8Ag2Pd3
_symmetry_space_group_name_H-M 'P 1 2/m 1'
_symmetry_Int_Tables_number 10
_cell_length_a 8.8476
_cell_length_b 5.0742
_cell_length_c 8.8800
_cell_angle_alpha 90.00
_cell_angle_beta 109.98
_cell_angle_gamma 90.00
loop_
_symmetry_equiv_pos_as_xyz
'x,y,z'
'-x,-y,-z'
'-x,y,-z'
'x,-y,z'
loop_
_atom_site_label
_atom_site_type_symbol
_atom_site_fract_x
_atom_site_fract_y
_atom_site_fract_z
Ca1 Ca 0.1194 0.0000 0.3812
Ca2 Ca 0.1327 0.5000 0.8700
Ca3 Ca 0.3703 0.5000 0.6333
Ca4 Ca 0.3813 0.0000 0.1178
Ag1 Ag 0.2510 0.5000 0.2489
Pd1 Pd 0.2504 0.0000 0.7504
Pd2 Pd 0.5000 0.5000 0.0000
```

Structure and simulated PXRD pattern of Sr3Li2I8 (a crystal structure in Alexandria, relaxed with GGA-PBE; Cu Kα (weighted mean of Kα1 and Kα2)).
Kinematic intensities with the Lorentz-polarization factor, no thermal factor.

Main lines, by angle (2θ = 10–90°):
| 2θ (°) | d (Å) | I (rel.) | index |
| --- | --- | --- | --- |
| 22.96 | 3.873 | 35 | 2 2 -1 |
| 23.09 | 3.852 | 17 | 0 0 2 |
| 24.64 | 3.613 | 15 | 4 0 0 |
| 27.11 | 3.289 | 100 | 4 0 -2 |
| 37.50 | 2.399 | 14 | 0 4 0 |
| 37.72 | 2.385 | 28 | 2 2 -3 |
| 39.76 | 2.267 | 38 | 4 0 2 |
| 46.91 | 1.937 | 15 | 4 4 -2 |

Structural model:
```
data_Sr3Li2I8
_symmetry_space_group_name_H-M 'C 1 2/m 1'
_symmetry_Int_Tables_number 12
_cell_length_a 15.4688
_cell_length_b 9.5941
_cell_length_c 8.2456
_cell_angle_alpha 90.00
_cell_angle_beta 110.87
_cell_angle_gamma 90.00
loop_
_symmetry_equiv_pos_as_xyz
'x,y,z'
'-x,-y,-z'
'-x,y,-z'
'x,-y,z'
'x+1/2,y+1/2,z'
'-x+1/2,-y+1/2,-z'
'-x+1/2,y+1/2,-z'
'x+1/2,-y+1/2,z'
loop_
_atom_site_label
_atom_site_type_symbol
_atom_site_fract_x
_atom_site_fract_y
_atom_site_fract_z
Sr1 Sr 0.0000 0.0000 0.0000
Sr2 Sr 0.0000 0.2616 0.5000
Li1 Li 0.1606 0.5000 0.1149
I1 I 0.1255 0.2488 0.2512
I2 I 0.1263 0.0000 0.7442
I3 I 0.1287 0.5000 0.7584
```

Structure and simulated PXRD pattern of TbNd3Pb2S (a crystal structure in Alexandria, relaxed with GGA-PBE; Cu Kα (weighted mean of Kα1 and Kα2)).
Kinematic intensities with the Lorentz-polarization factor, no thermal factor.

Main lines, by angle (2θ = 10–90°):
| 2θ (°) | d (Å) | I (rel.) | index |
| --- | --- | --- | --- |
| 24.24 | 3.672 | 31 | 1 1 0 |
| 26.52 | 3.362 | 61 | 1 1 2 |
| 32.15 | 2.784 | 26 | 0 0 6 |
| 32.47 | 2.758 | 100 | 1 1 4 |
| 34.10 | 2.629 | 37 | 0 2 0 |
| 34.98 | 2.565 | 35 | 2 0 0 |
| 49.65 | 1.836 | 26 | 2 2 0 |
| 60.01 | 1.542 | 18 | 1 3 4 |

Structural model:
```
data_TbNd3Pb2S
_symmetry_space_group_name_H-M 'I m m m'
_symmetry_Int_Tables_number 71
_symmetry_space_group_name_Hall '-I 2 2'
_cell_length_a 5.1298
_cell_length_b 5.2589
_cell_length_c 16.7060
_cell_angle_alpha 90.00
_cell_angle_beta 90.00
_cell_angle_gamma 90.00
loop_
_atom_site_label
_atom_site_type_symbol
_atom_site_fract_x
_atom_site_fract_y
_atom_site_fract_z
Tb1 Tb 0.0000 0.0000 0.0000
Nd1 Nd 0.0000 0.0000 0.5000
Nd2 Nd 0.0000 0.5000 0.3313
Pb1 Pb 0.0000 0.5000 0.1362
S1 S 0.0000 0.5000 0.5000
```

Structure and simulated PXRD pattern of Na8B11C5 (a crystal structure in Alexandria, relaxed with GGA-PBE; Cu Kα (weighted mean of Kα1 and Kα2)).
Kinematic intensities with the Lorentz-polarization factor, no thermal factor.

Main lines, by angle (2θ = 10–90°):
| 2θ (°) | d (Å) | I (rel.) | index |
| --- | --- | --- | --- |
| 34.86 | 2.574 | 12 | 0 0 4 |
| 36.46 | 2.464 | 17 | 1 0 2 |
| 40.88 | 2.208 | 50 | 0 2 4 |
| 42.07 | 2.148 | 39 | 0 4 0 |
| 42.29 | 2.137 | 100 | 1 2 2 |
| 63.56 | 1.464 | 17 | 1 0 6 |
| 77.03 | 1.238 | 13 | 1 6 2 |
| 79.19 | 1.210 | 17 | 1 4 6 |

Structural model:
```
data_Na8B11C5
_symmetry_space_group_name_H-M 'P m m 2'
_symmetry_Int_Tables_number 25
_cell_length_a 2.8065
_cell_length_b 8.5904
_cell_length_c 10.2944
_cell_angle_alpha 90.00
_cell_angle_beta 90.00
_cell_angle_gamma 90.00
loop_
_symmetry_equiv_pos_as_xyz
'x,y,z'
'-x,-y,z'
'-x,y,z'
'x,-y,z'
loop_
_atom_site_label
_atom_site_type_symbol
_atom_site_fract_x
_atom_site_fract_y
_atom_site_fract_z
Na1 Na 0.0000 0.2455 0.0000
Na2 Na 0.0000 0.2506 0.5048
Na3 Na 0.5000 0.2476 0.7519
Na4 Na 0.5000 0.2514 0.2541
B1 B 0.0000 0.0000 0.1911
B2 B 0.0000 0.0000 0.6646
B3 B 0.0000 0.5000 0.1660
B4 B 0.0000 0.5000 0.3295
B5 B 0.0000 0.5000 0.8333
B6 B 0.5000 0.0000 0.0790
B7 B 0.5000 0.0000 0.4258
B8 B 0.5000 0.0000 0.9057
B9 B 0.5000 0.5000 0.0610
B10 B 0.5000 0.5000 0.4356
B11 B 0.5000 0.5000 0.6020
C1 C 0.0000 0.0000 0.3445
C2 C 0.0000 0.0000 0.8254
C3 C 0.0000 0.5000 0.6789
C4 C 0.5000 0.0000 0.5848
C5 C 0.5000 0.5000 0.9115
```

Q: Number 4 is which compound?
A: Na8B11C5

Q: Number 2 is which compound?
A: Sr3Li2I8

Repeat the second record exactly.
Structure and simulated PXRD pattern of Sr3Li2I8 (a crystal structure in Alexandria, relaxed with GGA-PBE; Cu Kα (weighted mean of Kα1 and Kα2)).
Kinematic intensities with the Lorentz-polarization factor, no thermal factor.

Main lines, by angle (2θ = 10–90°):
| 2θ (°) | d (Å) | I (rel.) | index |
| --- | --- | --- | --- |
| 22.96 | 3.873 | 35 | 2 2 -1 |
| 23.09 | 3.852 | 17 | 0 0 2 |
| 24.64 | 3.613 | 15 | 4 0 0 |
| 27.11 | 3.289 | 100 | 4 0 -2 |
| 37.50 | 2.399 | 14 | 0 4 0 |
| 37.72 | 2.385 | 28 | 2 2 -3 |
| 39.76 | 2.267 | 38 | 4 0 2 |
| 46.91 | 1.937 | 15 | 4 4 -2 |

Structural model:
```
data_Sr3Li2I8
_symmetry_space_group_name_H-M 'C 1 2/m 1'
_symmetry_Int_Tables_number 12
_cell_length_a 15.4688
_cell_length_b 9.5941
_cell_length_c 8.2456
_cell_angle_alpha 90.00
_cell_angle_beta 110.87
_cell_angle_gamma 90.00
loop_
_symmetry_equiv_pos_as_xyz
'x,y,z'
'-x,-y,-z'
'-x,y,-z'
'x,-y,z'
'x+1/2,y+1/2,z'
'-x+1/2,-y+1/2,-z'
'-x+1/2,y+1/2,-z'
'x+1/2,-y+1/2,z'
loop_
_atom_site_label
_atom_site_type_symbol
_atom_site_fract_x
_atom_site_fract_y
_atom_site_fract_z
Sr1 Sr 0.0000 0.0000 0.0000
Sr2 Sr 0.0000 0.2616 0.5000
Li1 Li 0.1606 0.5000 0.1149
I1 I 0.1255 0.2488 0.2512
I2 I 0.1263 0.0000 0.7442
I3 I 0.1287 0.5000 0.7584
```